Structure and theoretical PXRD pattern of Er5Zn2Te (a crystal structure in Alexandria, relaxed with PBE; a wavelength of 1.5418 Å).

Top 10 peaks for 2θ = 5–70°, in order of rising 2θ:
Position (°2θ)	I (rel.)
25.68	25
31.33	12
32.67	29
32.82	100
35.14	70
36.36	25
51.57	11
54.09	15
56.63	18
66.23	24

Structure:
```
Er5Zn2Te
1.0
-4.0374 4.0374 6.2485
4.0374 -4.0374 6.2485
4.0374 4.0374 -6.2485
Er Zn Te
10 4 2
direct
0.0000 0.0000 0.0000 Er
0.0094 0.5094 0.8049 Er
0.2045 0.0094 0.5000 Er
0.2955 0.7955 0.8049 Er
0.4906 0.2955 0.5000 Er
0.5000 0.5000 0.0000 Er
0.5094 0.7045 0.5000 Er
0.7045 0.2045 0.1951 Er
0.7955 0.9906 0.5000 Er
0.9906 0.4906 0.1951 Er
0.1417 0.3583 0.5000 Zn
0.3583 0.8583 0.2165 Zn
0.6417 0.1417 0.7835 Zn
0.8583 0.6417 0.5000 Zn
0.2500 0.2500 0.0000 Te
0.7500 0.7500 0.0000 Te
```